Diffraction record for CeIn5Co. The powder X-ray diffraction pattern is calculated, not measured: it uses the PBE geometry in the Materials Project and Cu Kα (weighted mean of Kα1 and Kα2).
No peak broadening, texture or thermal motion is included.

Structure:
a = 4.636 Å, b = 4.636 Å, c = 7.564 Å
α = 90.00°, β = 90.00°, γ = 90.00°
Element x y z (fractional)
Ce: 0.000 0.000 0.000
In: 0.000 0.500 0.309
In: 0.000 0.500 0.691
In: 0.500 0.000 0.309
In: 0.500 0.000 0.691
In: 0.500 0.500 0.000
Co: 0.000 0.000 0.500

Top 6 peaks for 2θ = 10–90°, sorted by position:
two_theta, I_rel
29.7, 50
36.3, 100
38.9, 58
53.7, 27
68.3, 27
68.7, 29